# 1
Na5Si6O18: computed powder diffractogram (Cu Kα (weighted mean of Kα1 and Kα2)), based on DFT lattice parameters and positions (PBE).

Main lines, in order of rising 2θ (10° ≤ 2θ ≤ 80°):
- d = 6.245 Å, 14.2 deg, I = 352
- d = 5.827 Å, 15.2 deg, I = 421
- d = 4.768 Å, 18.6 deg, I = 555
- d = 4.256 Å, 20.9 deg, I = 215
- d = 3.485 Å, 25.6 deg, I = 489
- d = 3.457 Å, 25.8 deg, I = 366
- d = 3.436 Å, 25.9 deg, I = 1000
- d = 2.921 Å, 30.6 deg, I = 142
- d = 2.911 Å, 30.7 deg, I = 184
- d = 2.388 Å, 37.7 deg, I = 152
- d = 2.139 Å, 42.3 deg, I = 147
- d = 2.124 Å, 42.6 deg, I = 172

Crystal structure
Unit cell a=7.364 b=7.398 c=10.426 alpha=89.83 beta=69.52 gamma=60.63
Fractional coordinates of all 29 atoms:
Na  0.000  0.000  0.000
Na  0.317  0.871  0.499
Na  0.378  0.312  0.998
Na  0.622  0.688  0.002
Na  0.683  0.129  0.501
Si  0.071  0.185  0.252
Si  0.159  0.346  0.756
Si  0.410  0.581  0.745
Si  0.590  0.419  0.255
Si  0.841  0.654  0.244
Si  0.929  0.815  0.748
O  0.046  0.418  0.244
O  0.075  0.261  0.894
O  0.122  0.076  0.379
O  0.169  0.786  0.748
O  0.260  0.154  0.628
O  0.287  0.004  0.119
O  0.370  0.377  0.752
O  0.384  0.468  0.403
O  0.451  0.626  0.879
O  0.549  0.374  0.121
O  0.616  0.532  0.597
O  0.630  0.623  0.248
O  0.713  0.996  0.881
O  0.740  0.846  0.372
O  0.831  0.214  0.252
O  0.878  0.924  0.621
O  0.925  0.739  0.106
O  0.954  0.582  0.756



# 2
AgHgPd2: computed powder diffractogram (Cu Kα (weighted mean of Kα1 and Kα2)), based on DFT lattice parameters and positions (PBE).

Main lines, in order of rising 2θ (10° ≤ 2θ ≤ 80°):
- d = 3.773 Å, 23.6 deg, I = 63
- d = 3.267 Å, 27.3 deg, I = 41
- d = 2.310 Å, 39.0 deg, I = 1000
- d = 1.970 Å, 46.1 deg, I = 37
- d = 1.886 Å, 48.2 deg, I = 12
- d = 1.634 Å, 56.3 deg, I = 169
- d = 1.499 Å, 61.9 deg, I = 17
- d = 1.461 Å, 63.7 deg, I = 16
- d = 1.334 Å, 70.6 deg, I = 341
- d = 1.258 Å, 75.6 deg, I = 13

Crystal structure
Unit cell a=4.621 b=4.621 c=4.621 alpha=60.00 beta=60.00 gamma=60.00
Fractional coordinates of all 4 atoms:
Ag  0.000  0.000  0.000
Hg  0.500  0.500  0.500
Pd  0.250  0.250  0.250
Pd  0.750  0.750  0.750